# Ag5Pb2O6
Theoretical powder diffraction line list, Cu Kα, 1.54184 Å. Input: DFT lattice parameters and positions (PBE).
Lines closer than 0.1° are merged.

Top 6 peaks for 2θ = 15–90°, in order of rising 2θ:
29.49°, I 51.2
32.28°, I 100.0
32.58°, I 82.0
36.92°, I 79.5
51.69°, I 40.4
54.10°, I 47.0

Crystal structure
abc: 6.0581 6.0581 6.5339
angles: 90.00 90.00 120.00
Space group P-31m (No. 162)
Symmetry-distinct sites (fractional):
Ag1 0.0000 0.0000 0.2287 x2
Ag2 0.0000 0.5000 0.0000 x3
Pb1 0.3333 0.6667 0.5000 x2
O1 0.0000 0.3769 0.3082 x6